# 1
Simulated powder diffractogram
Compound: V4FeCoO12
Radiation: Cu Kα
Structure: a GGA+U-relaxed structure

Peak list (10 most intense, 2θ = 10–90°, by intensity)
Position (°2θ)	I (rel.)	h k l
29.8	1000	0 2 1
27.8	821	1 0 2
27.9	808	1 2 0
19.4	779	0 1 -1
32.4	734	2 0 0
18.2	700	1 0 1
23.4	415	1 0 -1
13.4	360	0 1 0
50.4	303	3 2 0
52.0	297	-2 2 1

Structure:
```
V4FeCoO12
1.0
5.917 0.000 0.000
1.816 6.583 0.000
1.831 0.286 6.610
V Fe Co O
4 1 1 12
Cartesian
0.000 0.000 0.000
1.554 2.804 2.692
4.759 5.460 1.194
4.529 1.657 3.863
2.595 3.729 5.816
5.556 4.816 4.660
1.474 3.522 1.179
3.712 5.543 5.509
3.238 6.421 1.078
3.081 1.862 2.817
4.520 2.970 4.967
4.859 4.755 2.716
6.247 6.754 4.643
6.598 4.588 6.539
6.209 6.501 0.942
6.047 1.732 2.900
7.393 3.966 3.961
7.830 1.767 5.820
```


# 2
Simulated powder diffractogram
Compound: ZnFe8Co3O16
Radiation: Cu Kα
Structure: a GGA+U-relaxed structure

Peak list (10 most intense, 2θ = 10–90°, by intensity)
Position (°2θ)	I (rel.)	h k l
34.8	1000	2 1 1
61.4	447	4 0 0
55.9	364	3 2 1
29.6	320	2 0 0
42.3	177	2 2 0
87.7	167	5 0 3
52.4	112	3 1 2
72.5	102	4 1 3
36.4	81	2 0 2
18.0	77	1 0 1

Structure:
```
ZnFe8Co3O16
1.0
6.044 0.000 0.000
0.000 6.044 0.000
0.000 0.000 8.548
Zn Fe Co O
1 8 3 16
Cartesian
0.000 0.000 0.000
0.000 1.510 3.205
0.000 4.534 3.205
1.510 0.000 5.343
1.510 3.022 1.068
3.022 1.510 7.480
3.022 4.534 7.480
4.534 0.000 5.343
4.534 3.022 1.068
0.000 3.022 6.412
3.022 0.000 2.135
3.022 3.022 4.274
0.000 1.387 5.254
0.000 1.635 1.156
0.000 4.409 1.156
0.000 4.657 5.254
1.385 3.022 3.116
1.387 0.000 3.293
1.635 0.000 7.392
1.636 3.022 7.567
3.022 1.385 5.432
3.022 1.636 0.981
3.022 4.409 0.981
3.022 4.659 5.432
4.409 0.000 7.392
4.409 3.022 7.567
4.657 0.000 3.293
4.659 3.022 3.116
```